Record 1
Pr6In5Sn: theoretical PXRD pattern (Cu Kα), based on DFT lattice parameters and positions (PBE).
Neutral-atom scattering factors, no anomalous dispersion.

Atomic structure:
```
data_Pr6In5Sn
_symmetry_space_group_name_H-M 'C m m m'
_symmetry_Int_Tables_number 65
_symmetry_space_group_name_Hall '-C 2 2'
_cell_length_a 5.1758
_cell_length_b 15.5638
_cell_length_c 8.7961
_cell_angle_alpha 90.00
_cell_angle_beta 90.00
_cell_angle_gamma 90.00
loop_
_atom_site_label
_atom_site_type_symbol
_atom_site_fract_x
_atom_site_fract_y
_atom_site_fract_z
Pr1 Pr 0.0000 0.0000 0.2475
Pr2 Pr 0.0000 0.3343 0.2506
In1 In 0.0000 0.1663 0.5000
In2 In 0.0000 0.1714 0.0000
In3 In 0.0000 0.5000 0.5000
Sn1 Sn 0.0000 0.5000 0.0000
```

Principal peaks in the range 2θ from 5° to 70°, by angle:
two_theta, I (rel.), (hkl)
20.19, 1, 0 0 2
24.29, 1, 1 3 0
31.79, 100, 1 3 2
34.62, 40, 2 0 0
41.04, 12, 0 0 4
49.77, 14, 2 6 0
54.75, 21, 2 0 4
60.22, 16, 1 9 2
60.33, 16, 3 3 2
66.42, 12, 2 6 4
69.00, 10, 1 3 6


Record 2
Sm3YPb3: theoretical PXRD pattern (Cu Kα), based on DFT lattice parameters and positions (PBE).
Neutral-atom scattering factors, no anomalous dispersion.

Atomic structure:
```
data_Sm3YPb3
_symmetry_space_group_name_H-M 'P 63/m'
_symmetry_Int_Tables_number 176
_symmetry_space_group_name_Hall '-P 6c'
_cell_length_a 9.6373
_cell_length_b 9.6373
_cell_length_c 6.2924
_cell_angle_alpha 90.00
_cell_angle_beta 90.00
_cell_angle_gamma 120.00
loop_
_atom_site_label
_atom_site_type_symbol
_atom_site_fract_x
_atom_site_fract_y
_atom_site_fract_z
Sm1 Sm 0.0255 0.3321 0.2500
Y1 Y 0.3333 0.6667 0.7500
Pb1 Pb 0.0057 0.3463 0.7500
```

Principal peaks in the range 2θ from 5° to 70°, by angle:
two_theta, I (rel.), (hkl)
18.41, 58, 1 1 0
28.36, 53, 0 0 2
32.18, 100, 3 0 0
34.03, 26, 1 1 2
37.32, 9, 2 2 0
43.42, 89, 3 0 2
47.53, 10, 2 2 2
57.37, 17, 3 3 0
58.56, 11, 4 1 2
65.22, 23, 3 3 2
67.31, 10, 6 0 0
68.52, 23, 3 0 4